Structure and computed powder X-ray diffraction pattern of BaCoWO5 (a GGA+U-relaxed structure; CuKα).
Intensities are scaled so that the largest is 100.

The 6 most intense peaks (5° ≤ 2θ ≤ 70°), in order of rising 2θ:
16.3°, I 43.8; 25.3°, I 100.0; 27.2°, I 70.6; 30.9°, I 87.8; 31.6°, I 53.5; 34.4°, I 30.9

Crystal structure
Lattice parameters (Å, degrees): 6.0270 6.0270 7.6318 103.90 103.90 107.08
Positions (direct):
Ba 0.1693 0.8307 0.7500
Ba 0.8307 0.1693 0.2500
Co 0.1888 0.8112 0.2500
Co 0.8112 0.1888 0.7500
W 0.5000 0.5000 0.0000
W 0.5000 0.5000 0.5000
O 0.1587 0.2760 0.9083
O 0.2259 0.6021 0.4107
O 0.2760 0.1587 0.4083
O 0.3979 0.7741 0.0893
O 0.4500 0.5500 0.7500
O 0.5500 0.4500 0.2500
O 0.6021 0.2259 0.9107
O 0.7240 0.8413 0.5917
O 0.7741 0.3979 0.5893
O 0.8413 0.7240 0.0917